For CaFe2P2O9, a crystal structure in Alexandria, relaxed with PBE+U gives the calculated powder X-ray diffraction pattern in this record (Cu Kα (λ = 1.5418 Å)).
Peak positions follow from Bragg's law for the DFT cell and can differ from measured ones.

a b c (Å): 14.413 6.470 7.457
angles (deg): 90.00 90.00 90.00
Space group Pnma (No. 62)
Unique sites:
Ca  0.220  0.250  0.103 x4
Fe  0.000  0.000  0.000 x4
Fe  0.119  0.250  0.647 x4
P  0.068  0.750  0.636 x4
P  0.191  0.750  0.110 x4
O  0.007  0.250  0.506 x4
O  0.020  0.750  0.825 x4
O  0.056  0.250  0.877 x4
O  0.130  0.553  0.105 x8
O  0.134  0.562  0.625 x8
O  0.236  0.250  0.456 x4
O  0.248  0.250  0.783 x4

Most intense lines, 10° ≤ 2θ ≤ 90°, by angle:
2theta, Rel. int., (hkl)
13.4, 20, 1 0 1
17.1, 35, 2 0 1
24.7, 100, 1 0 2
27.5, 57, 0 2 0
30.3, 27, 2 2 0
30.8, 57, 1 2 1
33.3, 31, 5 0 1
35.6, 20, 3 2 1
36.7, 15, 1 0 3
39.3, 22, 4 2 1
56.6, 23, 5 2 3
56.9, 17, 0 4 0